Diffraction record for Dy2Cd2C. The XRD peak list is simulated, not measured: it uses DFT lattice parameters and positions (GGA-PBE) and CuKα.
Peak positions follow from Bragg's law for the DFT cell and can differ from measured ones.

Top 10 peaks for 10 to 90 degrees two-theta, low angle first:
Position (°2θ)  I/Imax
31.1  100
34.7  24
37.2  66
51.2  27
56.0  18
61.1  14
63.3  24
64.9  12
83.7  12
87.1  11

abc: 3.5705 3.5705 30.9952
angles: 90.00 90.00 120.00
Space group R-3m (No. 166, hexagonal axes)
Asymmetric unit:
Dy  0.0000  0.0000  0.1230
Cd  0.0000  0.0000  0.3704
C  0.0000  0.0000  0.5000

Diffraction record for SrCdGa2C. The XRD peak list is simulated, not measured: it uses DFT lattice parameters and positions (GGA-PBE) and CuKα.
Peak positions follow from Bragg's law for the DFT cell and can differ from measured ones.

Top 10 peaks for 10 to 90 degrees two-theta, low angle first:
Position (°2θ)  I/Imax
32.7  100
35.4  23
39.2  34
53.9  26
56.7  11
61.9  15
67.0  24
68.6  12
88.1  6
88.9  12

abc: 4.595 4.595 5.065
angles: 90.00 90.00 90.00
Space group P4/mmm (No. 123)
Asymmetric unit:
Sr  0.000  0.000  0.000
Cd  0.500  0.500  0.000
Ga  0.000  0.500  0.500
C  0.500  0.500  0.500

Diffraction record for CdGe4C8S10N2. The XRD peak list is simulated, not measured: it uses DFT lattice parameters and positions (GGA-PBE) and CuKα.
Peak positions follow from Bragg's law for the DFT cell and can differ from measured ones.

Top 10 peaks for 10 to 90 degrees two-theta, low angle first:
Position (°2θ)  I/Imax
11.9  83
17.9  100
23.6  70
23.9  15
28.2  75
32.8  18
33.4  38
40.8  18
44.8  20
46.3  17

abc: 8.024 8.024 20.142
angles: 90.00 90.00 90.00
Space group I-4 (No. 82)
Asymmetric unit:
Cd  0.000  0.000  0.000
Ge  0.126  0.327  0.812
C  0.040  0.574  0.183
C  0.074  0.846  0.487
S  0.000  0.500  0.614
S  0.057  0.819  0.751
S  0.106  0.733  0.134
N  0.000  0.000  0.500
N  0.000  0.500  0.250

Diffraction record for CdH6CI3N3. The XRD peak list is simulated, not measured: it uses DFT lattice parameters and positions (GGA-PBE) and CuKα.
Peak positions follow from Bragg's law for the DFT cell and can differ from measured ones.

Top 10 peaks for 10 to 90 degrees two-theta, low angle first:
Position (°2θ)  I/Imax
10.7  100
23.6  14
24.6  73
30.3  15
31.1  18
32.2  27
37.5  15
37.8  12
40.6  12
42.1  16

abc: 9.535 7.532 19.007
angles: 90.00 120.04 90.00
Space group P2_1/c (No. 14)
Asymmetric unit:
Cd  0.000  0.016  0.250
H  0.105  0.244  0.570
H  0.110  0.248  0.980
H  0.351  0.235  0.697
H  0.362  0.248  0.983
H  0.458  0.743  0.924
H  0.464  0.735  0.801
C  0.335  0.243  0.584
I  0.142  0.734  0.895
I  0.147  0.734  0.679
I  0.289  0.234  0.824
N  0.173  0.248  0.542
N  0.412  0.235  0.665
N  0.419  0.247  0.545

Diffraction record for K2ZrCdH16C8O24. The XRD peak list is simulated, not measured: it uses DFT lattice parameters and positions (GGA-PBE) and CuKα.
Peak positions follow from Bragg's law for the DFT cell and can differ from measured ones.

Top 10 peaks for 10 to 90 degrees two-theta, low angle first:
Position (°2θ)  I/Imax
12.5  99
15.5  100
22.7  58
25.4  66
31.3  43
31.8  43
38.3  23
39.0  39
45.2  44
47.8  20

abc: 11.425 11.425 8.972
angles: 90.00 90.00 90.00
Space group I-4 (No. 82)
Asymmetric unit:
K  0.000  0.000  0.000
K  0.000  0.500  0.250
Zr  0.000  0.500  0.750
Cd  0.000  0.000  0.500
H  0.096  0.751  0.279
H  0.098  0.255  0.974
H  0.173  0.745  0.132
H  0.176  0.246  0.119
C  0.002  0.723  0.551
C  0.006  0.230  0.711
O  0.004  0.611  0.541
O  0.007  0.794  0.444
O  0.009  0.312  0.811
O  0.011  0.124  0.733
O  0.155  0.703  0.226
O  0.157  0.206  0.024

Repeat the fifth record exactly.
Diffraction record for K2ZrCdH16C8O24. The XRD peak list is simulated, not measured: it uses DFT lattice parameters and positions (GGA-PBE) and CuKα.
Peak positions follow from Bragg's law for the DFT cell and can differ from measured ones.

Top 10 peaks for 10 to 90 degrees two-theta, low angle first:
Position (°2θ)  I/Imax
12.5  99
15.5  100
22.7  58
25.4  66
31.3  43
31.8  43
38.3  23
39.0  39
45.2  44
47.8  20

abc: 11.425 11.425 8.972
angles: 90.00 90.00 90.00
Space group I-4 (No. 82)
Asymmetric unit:
K  0.000  0.000  0.000
K  0.000  0.500  0.250
Zr  0.000  0.500  0.750
Cd  0.000  0.000  0.500
H  0.096  0.751  0.279
H  0.098  0.255  0.974
H  0.173  0.745  0.132
H  0.176  0.246  0.119
C  0.002  0.723  0.551
C  0.006  0.230  0.711
O  0.004  0.611  0.541
O  0.007  0.794  0.444
O  0.009  0.312  0.811
O  0.011  0.124  0.733
O  0.155  0.703  0.226
O  0.157  0.206  0.024

What did the fourth record say?
Diffraction record for CdH6CI3N3. The XRD peak list is simulated, not measured: it uses DFT lattice parameters and positions (GGA-PBE) and CuKα.
Peak positions follow from Bragg's law for the DFT cell and can differ from measured ones.

Top 10 peaks for 10 to 90 degrees two-theta, low angle first:
Position (°2θ)  I/Imax
10.7  100
23.6  14
24.6  73
30.3  15
31.1  18
32.2  27
37.5  15
37.8  12
40.6  12
42.1  16

abc: 9.535 7.532 19.007
angles: 90.00 120.04 90.00
Space group P2_1/c (No. 14)
Asymmetric unit:
Cd  0.000  0.016  0.250
H  0.105  0.244  0.570
H  0.110  0.248  0.980
H  0.351  0.235  0.697
H  0.362  0.248  0.983
H  0.458  0.743  0.924
H  0.464  0.735  0.801
C  0.335  0.243  0.584
I  0.142  0.734  0.895
I  0.147  0.734  0.679
I  0.289  0.234  0.824
N  0.173  0.248  0.542
N  0.412  0.235  0.665
N  0.419  0.247  0.545